Record 1
# LiAl3Tc
Theoretical powder diffractogram, Cu Kα, 1.54184 Å. Input: a structure optimized by DFT (PBE).
Kinematic intensities with the Lorentz-polarization factor, no thermal factor.

The 10 most intense peaks (10 to 90 degrees two-theta), sorted by position:
2θ/deg, d (Å), Rel. int., index
19.0, 4.660, 33, 1 0 0
24.2, 3.681, 74, 0 1 1
25.5, 3.498, 24, 1 0 1
28.0, 3.181, 23, 1 0 -2
28.9, 3.088, 22, 1 1 -1
33.0, 2.713, 14, 0 1 2
37.6, 2.391, 21, 2 0 -1
41.6, 2.171, 100, 0 2 0
43.2, 2.094, 34, 2 1 -1
44.4, 2.040, 40, 1 1 -3

Crystal structure
Cell lengths 4.804, 4.339, 7.168 Å; angles 90.00, 104.06, 90.00 degrees
Atoms (fractional coordinates):
Li 0.227 0.250 0.298
Li 0.773 0.750 0.702
Al 0.006 0.750 0.126
Al 0.184 0.750 0.509
Al 0.379 0.750 0.907
Al 0.621 0.250 0.093
Al 0.816 0.250 0.491
Al 0.994 0.250 0.874
Tc 0.410 0.250 0.692
Tc 0.590 0.750 0.308


Record 2
# CsCd3Sb3
Theoretical powder diffractogram, Cu Kα, 1.54184 Å. Input: a structure optimized by DFT (PBE).
Kinematic intensities with the Lorentz-polarization factor, no thermal factor.

The 10 most intense peaks (10 to 90 degrees two-theta), sorted by position:
2θ/deg, d (Å), Rel. int., index
15.5, 5.718, 16, 1 1 0
22.0, 4.043, 42, 2 0 0
27.0, 3.301, 100, 2 1 1
38.6, 2.335, 32, 2 2 2
41.8, 2.161, 61, 3 2 1
44.8, 2.022, 33, 4 0 0
50.5, 1.808, 17, 4 2 0
63.0, 1.476, 18, 5 2 1
65.3, 1.430, 21, 4 4 0
72.0, 1.312, 18, 6 1 1

Crystal structure
Cell lengths 8.087, 8.087, 8.087 Å; angles 90.00, 90.00, 90.00 degrees
Atoms (fractional coordinates):
Cs 0.000 0.000 0.000
Cs 0.500 0.500 0.500
Cd 0.000 0.250 0.500
Cd 0.000 0.750 0.500
Cd 0.250 0.500 0.000
Cd 0.500 0.000 0.250
Cd 0.500 0.000 0.750
Cd 0.750 0.500 0.000
Sb 0.000 0.500 0.250
Sb 0.000 0.500 0.750
Sb 0.250 0.000 0.500
Sb 0.500 0.250 0.000
Sb 0.500 0.750 0.000
Sb 0.750 0.000 0.500


Record 3
# Ba2Ho2Al3Si5N11O3
Theoretical powder diffractogram, Cu Kα, 1.54184 Å. Input: a structure optimized by DFT (PBE).
Kinematic intensities with the Lorentz-polarization factor, no thermal factor.

The 10 most intense peaks (10 to 90 degrees two-theta), sorted by position:
2θ/deg, d (Å), Rel. int., index
16.2, 5.478, 33, 1 0 0
23.2, 3.842, 100, 0 1 2
28.2, 3.163, 97, 1 1 0
29.7, 3.004, 43, 0 1 3
32.8, 2.728, 61, 1 1 2
33.8, 2.655, 41, 0 2 1
37.2, 2.418, 29, 1 0 4
44.2, 2.051, 45, 1 1 4
47.0, 1.933, 28, 1 2 2
58.4, 1.581, 33, 2 2 0

Crystal structure
Cell lengths 6.325, 6.325, 10.778 Å; angles 90.00, 90.00, 120.00 degrees
Atoms (fractional coordinates):
Ba 0.000 0.000 0.000
Ba 0.333 0.667 0.523
Ho 0.000 0.000 0.500
Ho 0.333 0.667 0.224
Al 0.346 0.173 0.306
Al 0.827 0.173 0.306
Al 0.827 0.654 0.306
Si 0.008 0.504 0.801
Si 0.496 0.504 0.801
Si 0.496 0.992 0.801
Si 0.667 0.333 0.090
Si 0.667 0.333 0.583
N 0.155 0.310 0.360
N 0.155 0.845 0.360
N 0.373 0.187 0.138
N 0.525 0.049 0.651
N 0.525 0.475 0.651
N 0.667 0.333 0.408
N 0.667 0.333 0.888
N 0.690 0.845 0.360
N 0.813 0.187 0.138
N 0.813 0.627 0.138
N 0.951 0.475 0.651
O 0.196 0.393 0.844
O 0.196 0.804 0.844
O 0.607 0.804 0.844